1.
Structure and calculated powder X-ray diffraction pattern of AcTb3Te4 (the PBE geometry in Alexandria; Cu Kα (λ = 1.5418 Å)).
Lines closer than 0.1° are merged.

Principal peaks in the range 15° ≤ 2θ ≤ 90°, low angle first:
2θ (°)	I/Imax
28.26	100
39.64	13
40.39	51
49.38	14
50.67	13
66.16	23

Crystal structure
a b c (Å): 9.094 12.640 4.385
angles (deg): 90.00 90.00 90.00
Fractional coordinates of all 16 atoms:
Ac 0.000 0.000 0.000
Ac 0.500 0.500 0.000
Tb 0.000 0.500 0.000
Tb 0.250 0.250 0.500
Tb 0.250 0.750 0.500
Tb 0.500 0.000 0.000
Tb 0.750 0.250 0.500
Tb 0.750 0.750 0.500
Te 0.000 0.258 0.000
Te 0.000 0.742 0.000
Te 0.233 0.500 0.500
Te 0.267 0.000 0.500
Te 0.500 0.242 0.000
Te 0.500 0.758 0.000
Te 0.733 0.000 0.500
Te 0.767 0.500 0.500

---

2.
Structure and calculated powder X-ray diffraction pattern of PaNi3C (the PBE geometry in Alexandria; Cu Kα (λ = 1.5418 Å)).
Lines closer than 0.1° are merged.

Principal peaks in the range 15° ≤ 2θ ≤ 90°, low angle first:
2θ (°)	I/Imax
23.35	100
25.96	20
40.01	24
44.25	39
47.75	30
53.39	23

Crystal structure
a b c (Å): 4.580 4.580 13.693
angles (deg): 90.00 90.00 120.00
Fractional coordinates of all 15 atoms:
Pa 0.000 0.000 0.000
Pa 0.333 0.667 0.667
Pa 0.667 0.333 0.333
Ni 0.005 0.502 0.495
Ni 0.164 0.329 0.829
Ni 0.164 0.836 0.829
Ni 0.338 0.169 0.162
Ni 0.498 0.502 0.495
Ni 0.498 0.995 0.495
Ni 0.671 0.836 0.829
Ni 0.831 0.169 0.162
Ni 0.831 0.662 0.162
C 0.000 0.000 0.265
C 0.333 0.667 0.932
C 0.667 0.333 0.598

---

3.
Structure and calculated powder X-ray diffraction pattern of CaLa6TbPm2 (the PBE geometry in Alexandria; Cu Kα (λ = 1.5418 Å)).
Lines closer than 0.1° are merged.

Principal peaks in the range 15° ≤ 2θ ≤ 90°, low angle first:
2θ (°)	I/Imax
27.49	76
29.17	57
29.60	94
29.83	68
30.61	100
30.75	61

Crystal structure
a b c (Å): 9.184 9.184 10.086
angles (deg): 94.61 94.61 118.94
Fractional coordinates of all 20 atoms:
Ca 0.098 0.902 0.750
Ca 0.902 0.098 0.250
La 0.001 0.785 0.376
La 0.069 0.527 0.177
La 0.215 0.999 0.124
La 0.267 0.614 0.551
La 0.386 0.733 0.949
La 0.473 0.931 0.323
La 0.527 0.069 0.677
La 0.614 0.267 0.051
La 0.733 0.386 0.449
La 0.785 0.001 0.876
La 0.931 0.473 0.823
La 0.999 0.215 0.624
Tb 0.475 0.525 0.250
Tb 0.525 0.475 0.750
Pm 0.206 0.299 0.958
Pm 0.299 0.206 0.458
Pm 0.701 0.794 0.542
Pm 0.794 0.701 0.042

---

4.
Structure and calculated powder X-ray diffraction pattern of RbGaO2 (the PBE geometry in Alexandria; Cu Kα (λ = 1.5418 Å)).
Lines closer than 0.1° are merged.

Principal peaks in the range 15° ≤ 2θ ≤ 90°, low angle first:
2θ (°)	I/Imax
23.00	84
28.18	100
33.30	56
35.06	97
43.35	72
56.52	54

Crystal structure
a b c (Å): 6.492 3.020 14.443
angles (deg): 90.00 90.00 90.00
Fractional coordinates of all 16 atoms:
Rb 0.122 0.250 0.164
Rb 0.378 0.750 0.664
Rb 0.622 0.250 0.336
Rb 0.878 0.750 0.836
Ga 0.123 0.750 0.433
Ga 0.377 0.250 0.933
Ga 0.623 0.750 0.067
Ga 0.877 0.250 0.567
O 0.167 0.250 0.534
O 0.185 0.250 0.353
O 0.315 0.750 0.853
O 0.333 0.750 0.034
O 0.667 0.250 0.966
O 0.685 0.250 0.147
O 0.815 0.750 0.647
O 0.833 0.750 0.466